Record 1
This entry pairs a crystal structure of Li2MnVP3O12 with its simulated X-ray diffraction stick pattern. Radiation: Cu Kα (λ = 1.5418 Å). Structure: a cell relaxed with GGA+U.
Intensities are scaled so that the largest is 100.

Peak list (8 most intense, 10 to 90 degrees two-theta, sorted by position)
- 14.08 deg, rel. 74.6, hkl 0 1 0
- 14.65 deg, rel. 100.0, hkl 1 0 -1
- 19.41 deg, rel. 54.0, hkl 1 0 1
- 19.69 deg, rel. 45.9, hkl -1 1 1
- 20.22 deg, rel. 50.3, hkl 0 1 -2
- 23.56 deg, rel. 53.8, hkl 1 1 0
- 23.97 deg, rel. 42.7, hkl 1 -2 0
- 28.39 deg, rel. 45.3, hkl 0 2 0

Cell: 8.321 8.323 8.842 Å, 116.22 90.15 118.85°
Space group P1 (No. 1)
Unique sites:
Li (0.000, 0.000, 0.000) [1 per cell]
Li (0.040, 0.538, 0.485) [1 per cell]
Li (0.571, 0.301, 0.984) [1 per cell]
Li (0.614, 0.756, 0.262) [1 per cell]
Mn (0.157, 0.080, 0.691) [1 per cell]
Mn (0.450, 0.658, 0.560) [1 per cell]
V (0.648, 0.059, 0.169) [1 per cell]
V (0.964, 0.675, 0.080) [1 per cell]
P (0.042, 0.146, 0.368) [1 per cell]
P (0.267, 0.866, 0.872) [1 per cell]
P (0.339, 0.876, 0.382) [1 per cell]
P (0.563, 0.588, 0.881) [1 per cell]
P (0.759, 0.566, 0.372) [1 per cell]
P (0.838, 0.156, 0.870) [1 per cell]
O (0.040, 0.208, 0.856) [1 per cell]
O (0.077, 0.990, 0.212) [1 per cell]
O (0.086, 0.152, 0.539) [1 per cell]
O (0.136, 0.711, 0.246) [1 per cell]
O (0.139, 0.718, 0.938) [1 per cell]
O (0.154, 0.366, 0.390) [1 per cell]
O (0.182, 0.992, 0.862) [1 per cell]
O (0.275, 0.729, 0.690) [1 per cell]
O (0.325, 0.010, 0.559) [1 per cell]
O (0.415, 0.742, 0.388) [1 per cell]
O (0.444, 0.375, 0.872) [1 per cell]
O (0.471, 0.040, 0.003) [1 per cell]
O (0.473, 0.015, 0.310) [1 per cell]
O (0.517, 0.576, 0.709) [1 per cell]
O (0.533, 0.751, 0.035) [1 per cell]
O (0.561, 0.519, 0.395) [1 per cell]
O (0.681, 0.979, 0.704) [1 per cell]
O (0.767, 0.615, 0.217) [1 per cell]
O (0.769, 0.364, 0.310) [1 per cell]
O (0.783, 0.670, 0.933) [1 per cell]
O (0.816, 0.091, 0.018) [1 per cell]
O (0.821, 0.055, 0.317) [1 per cell]
O (0.830, 0.359, 0.944) [1 per cell]
O (0.928, 0.738, 0.532) [1 per cell]

=====

Record 2
This entry pairs a crystal structure of VCr3O8 with its simulated X-ray diffraction stick pattern. Radiation: Cu Kα (λ = 1.5418 Å). Structure: a cell relaxed with GGA+U.
Intensities are scaled so that the largest is 100.

Peak list (8 most intense, 10 to 90 degrees two-theta, sorted by position)
- 17.96 deg, rel. 60.1, hkl 0 0 1
- 18.43 deg, rel. 100.0, hkl 1 1 0
- 18.71 deg, rel. 48.2, hkl 2 0 -1
- 35.88 deg, rel. 21.0, hkl 3 1 -2
- 43.22 deg, rel. 64.9, hkl 2 2 -2
- 43.46 deg, rel. 32.0, hkl 4 0 0
- 61.90 deg, rel. 16.8, hkl 2 2 2
- 64.01 deg, rel. 15.5, hkl 6 2 -2

Cell: 10.034 5.897 5.949 Å, 90.00 123.88 90.00°
Space group C2/m (No. 12)
Unique sites:
V (0.000, 0.000, 0.000) [2 per cell]
Cr (0.000, 0.000, 0.500) [2 per cell]
Cr (0.250, 0.250, 0.000) [4 per cell]
O (0.017, 0.216, 0.780) [8 per cell]
O (0.229, 0.000, 0.204) [4 per cell]
O (0.236, 0.000, 0.782) [4 per cell]

=====

Record 3
This entry pairs a crystal structure of Fe7Co2O12 with its simulated X-ray diffraction stick pattern. Radiation: Cu Kα (λ = 1.5418 Å). Structure: a cell relaxed with GGA+U.
Intensities are scaled so that the largest is 100.

Peak list (8 most intense, 10 to 90 degrees two-theta, sorted by position)
- 29.63 deg, rel. 37.3, hkl 2 2 -1
- 34.73 deg, rel. 69.9, hkl 1 1 4
- 34.92 deg, rel. 100.0, hkl 1 3 -2
- 35.02 deg, rel. 32.9, hkl 3 1 -3
- 42.43 deg, rel. 28.7, hkl 0 4 0
- 56.04 deg, rel. 18.6, hkl 1 5 1
- 61.45 deg, rel. 30.8, hkl 0 4 6
- 61.57 deg, rel. 30.6, hkl 4 4 -2

Cell: 8.525 8.518 13.471 Å, 90.00 107.72 90.00°
Space group C2/c (No. 15)
Unique sites:
Fe (0.000, 0.000, 0.000) [4 per cell]
Fe (0.000, 0.126, 0.250) [4 per cell]
Fe (0.082, 0.252, 0.672) [8 per cell]
Fe (0.164, 0.376, 0.083) [8 per cell]
Fe (0.250, 0.250, 0.500) [4 per cell]
Co (0.167, 0.498, 0.334) [8 per cell]
O (0.011, 0.241, 0.503) [8 per cell]
O (0.079, 0.493, 0.668) [8 per cell]
O (0.082, 0.007, 0.660) [8 per cell]
O (0.163, 0.253, 0.832) [8 per cell]
O (0.176, 0.252, 0.340) [8 per cell]
O (0.240, 0.010, 0.501) [8 per cell]

=====

Record 4
This entry pairs a crystal structure of VBO4 with its simulated X-ray diffraction stick pattern. Radiation: Cu Kα (λ = 1.5418 Å). Structure: a cell relaxed with GGA+U.
Intensities are scaled so that the largest is 100.

Peak list (8 most intense, 10 to 90 degrees two-theta, sorted by position)
- 21.86 deg, rel. 100.0, hkl 1 0 1
- 25.81 deg, rel. 6.3, hkl 1 1 0
- 35.70 deg, rel. 24.1, hkl 1 1 2
- 43.23 deg, rel. 11.2, hkl 2 1 1
- 44.57 deg, rel. 8.8, hkl 2 0 2
- 56.48 deg, rel. 13.8, hkl 1 2 3
- 65.60 deg, rel. 4.6, hkl 1 3 2
- 70.75 deg, rel. 4.4, hkl 3 2 1

Cell: 4.882 4.882 7.344 Å, 90.00 90.00 90.00°
Space group I-4 (No. 82)
Unique sites:
V (0.000, 0.000, 0.000) [2 per cell]
B (0.000, 0.500, 0.750) [2 per cell]
O (0.101, 0.726, 0.865) [8 per cell]

=====

Record 5
This entry pairs a crystal structure of Li5MnO3F2 with its simulated X-ray diffraction stick pattern. Radiation: Cu Kα (λ = 1.5418 Å). Structure: a cell relaxed with GGA+U.
Intensities are scaled so that the largest is 100.

Peak list (8 most intense, 10 to 90 degrees two-theta, sorted by position)
- 15.56 deg, rel. 100.0, hkl 0 0 1
- 20.89 deg, rel. 67.4, hkl 0 1 -1
- 24.59 deg, rel. 94.7, hkl 1 0 0
- 28.79 deg, rel. 40.6, hkl 0 1 1
- 42.50 deg, rel. 87.7, hkl 0 1 2
- 42.81 deg, rel. 27.0, hkl -1 1 2
- 45.95 deg, rel. 38.5, hkl 2 -1 0
- 64.37 deg, rel. 40.6, hkl -2 2 2

Cell: 3.950 5.159 5.997 Å, 106.82 90.06 112.48°
Space group P1 (No. 1)
Unique sites:
Li (0.000, 0.000, 0.000) [1 per cell]
Li (0.030, 0.058, 0.433) [1 per cell]
Li (0.376, 0.751, 0.188) [1 per cell]
Li (0.407, 0.810, 0.621) [1 per cell]
Li (0.706, 0.405, 0.810) [1 per cell]
Mn (0.703, 0.405, 0.310) [1 per cell]
O (0.203, 0.404, 0.310) [1 per cell]
O (0.565, 0.127, 0.488) [1 per cell]
O (0.842, 0.682, 0.134) [1 per cell]
F (0.523, 0.045, 0.957) [1 per cell]
F (0.884, 0.764, 0.665) [1 per cell]

=====

Record 6
This entry pairs a crystal structure of LaCrAgO6 with its simulated X-ray diffraction stick pattern. Radiation: Cu Kα (λ = 1.5418 Å). Structure: a cell relaxed with GGA+U.
Intensities are scaled so that the largest is 100.

Peak list (8 most intense, 10 to 90 degrees two-theta, sorted by position)
- 16.22 deg, rel. 74.6, hkl 0 1 1
- 20.43 deg, rel. 76.8, hkl 1 0 0
- 23.25 deg, rel. 72.0, hkl 1 1 -1
- 23.79 deg, rel. 92.2, hkl 1 0 -2
- 24.30 deg, rel. 100.0, hkl 0 1 2
- 27.18 deg, rel. 76.8, hkl 0 2 1
- 28.85 deg, rel. 98.3, hkl 1 1 1
- 31.99 deg, rel. 81.0, hkl 1 2 -1

Cell: 4.615 7.106 9.077 Å, 90.00 109.61 90.00°
Space group Pc (No. 7)
Unique sites:
La (0.000, 0.094, 0.000) [2 per cell]
Cr (0.094, 0.340, 0.667) [2 per cell]
Ag (0.663, 0.281, 0.247) [2 per cell]
O (0.261, 0.451, 0.163) [2 per cell]
O (0.341, 0.163, 0.703) [2 per cell]
O (0.523, 0.197, 0.026) [2 per cell]
O (0.814, 0.282, 0.497) [2 per cell]
O (0.934, 0.352, 0.804) [2 per cell]
O (0.985, 0.088, 0.272) [2 per cell]

=====

Record 7
This entry pairs a crystal structure of NaV2P2O9 with its simulated X-ray diffraction stick pattern. Radiation: Cu Kα (λ = 1.5418 Å). Structure: a cell relaxed with GGA+U.
Intensities are scaled so that the largest is 100.

Peak list (8 most intense, 10 to 90 degrees two-theta, sorted by position)
- 12.59 deg, rel. 27.0, hkl 2 0 0
- 17.10 deg, rel. 47.0, hkl 2 0 1
- 24.03 deg, rel. 100.0, hkl 1 0 2
- 27.65 deg, rel. 32.4, hkl 0 2 0
- 27.91 deg, rel. 28.1, hkl 4 0 1
- 30.72 deg, rel. 42.8, hkl 1 2 1
- 35.72 deg, rel. 26.6, hkl 1 0 3
- 39.70 deg, rel. 27.4, hkl 4 2 1

Cell: 14.065 6.453 7.677 Å, 90.00 90.00 90.00°
Space group Pnma (No. 62)
Unique sites:
Na (0.221, 0.250, 0.111) [4 per cell]
V (0.000, 0.000, 0.000) [4 per cell]
V (0.119, 0.250, 0.651) [4 per cell]
P (0.062, 0.750, 0.647) [4 per cell]
P (0.192, 0.750, 0.110) [4 per cell]
O (0.016, 0.750, 0.834) [4 per cell]
O (0.020, 0.250, 0.484) [4 per cell]
O (0.055, 0.250, 0.858) [4 per cell]
O (0.126, 0.559, 0.630) [8 per cell]
O (0.129, 0.553, 0.102) [8 per cell]
O (0.230, 0.250, 0.467) [4 per cell]
O (0.245, 0.250, 0.778) [4 per cell]